For VS2, DFT lattice parameters and positions (GGA-PBE) gives the theoretical X-ray diffraction stick pattern in this record (Cu Kα).

Peak list (6 most intense, 2θ = 10–80°, by angle)
(hkl)  d (Å)  2θ/deg  I_rel
0 0 3  7.520  11.77  100
0 1 2  2.676  33.49  20
0 1 5  2.351  38.29  37
1 0 7  2.094  43.21  9
1 0 10  1.745  52.43  13
1 1 0  1.590  58.00  10

Structure:
```
data_VS2
_cell_length_a 3.1802
_cell_length_b 3.1802
_cell_length_c 22.5600
_cell_angle_alpha 90.00
_cell_angle_beta 90.00
_cell_angle_gamma 120.00
_space_group_name_H-M_alt 'R -3 m'
_space_group_IT_number 166
_space_group_name_Hall '-R 3 2"'
loop_
_atom_site_label
_atom_site_fract_x
_atom_site_fract_y
_atom_site_fract_z
V1 0.0000 0.0000 0.0000
S1 0.0000 0.0000 0.3988
```